Structure and simulated powder diffraction line list of La2NdCoAg (the GGA-PBE geometry in Alexandria; a wavelength of 1.5418 Å).
Neutral-atom scattering factors, no anomalous dispersion.

The 10 most intense peaks (2θ from 10° to 90°), most intense first:
- 2θ = 29.12°, I = 100, hkl 1 1 1
- 2θ = 34.36°, I = 52, hkl 2 0 0
- 2θ = 48.01°, I = 40, hkl 2 0 2
- 2θ = 32.49°, I = 30, hkl 0 0 2
- 2θ = 58.36°, I = 28, hkl 3 1 1
- 2θ = 60.37°, I = 20, hkl 2 2 2
- 2θ = 49.38°, I = 18, hkl 2 2 0
- 2θ = 55.91°, I = 16, hkl 1 1 3
- 2θ = 77.79°, I = 12, hkl 3 1 3
- 2θ = 78.51°, I = 9, hkl 2 0 4

Cell and atoms:
abc: 5.220 5.220 5.511
angles: 90.00 90.00 90.00
Space group P4mm (No. 99)
Unique sites:
La  0.000  0.500  0.000 (multiplicity 2)
Nd  0.000  0.000  0.501 (multiplicity 1)
Co  0.000  0.000  0.001 (multiplicity 1)
Ag  0.500  0.500  0.505 (multiplicity 1)